Structure and theoretical PXRD pattern of Rb2SnCl6 (DFT lattice parameters and positions (GGA-PBE); Cu Kα (λ = 1.5418 Å)).
Peak positions follow from Bragg's law for the DFT cell and can differ from measured ones.

Crystal structure
Lattice parameters (Å, degrees): 10.414 10.414 10.414 90.00 90.00 90.00
Space group Fm-3m (No. 225)
Symmetry-distinct sites (fractional):
Rb  0.250  0.250  0.250 (multiplicity 8)
Sn  0.000  0.000  0.000 (multiplicity 4)
Cl  0.000  0.000  0.237 (multiplicity 24)

Peak list (6 most intense, 15° ≤ 2θ ≤ 90°, in order of falling intensity)
34.45°, rel. 100, hkl 4 0 0; 24.17°, rel. 95, hkl 2 2 0; 49.51°, rel. 66, hkl 4 4 0; 29.72°, rel. 56, hkl 2 2 2; 42.53°, rel. 44, hkl 4 2 2; 28.42°, rel. 35, hkl 3 1 1